# Al5Ni7
Simulated X-ray diffraction stick pattern, Cu Kα (λ = 1.5418 Å). Input: a cell relaxed with PBE.
Kinematic intensities with the Lorentz-polarization factor, no thermal factor.

The 6 most intense peaks (10 to 80 degrees two-theta), sorted by position:
d (Å)  2θ/deg  I (rel.)
4.129  21.5  49
2.384  37.7  35
2.182  41.4  42
2.028  44.7  100
1.994  45.5  67
1.820  50.1  32

Lattice parameters (Å, degrees): 4.7679 4.7679 15.4191 90.00 90.00 120.00
Fractional positions:
Al1 0.0000 0.0000 0.0877
Al2 0.0000 0.0000 0.4123
Al3 0.0000 0.0000 0.5877
Al4 0.0000 0.0000 0.9123
Al5 0.1657 0.3313 0.2500
Al6 0.1657 0.8343 0.2500
Al7 0.3313 0.1657 0.7500
Al8 0.6687 0.8343 0.2500
Al9 0.8343 0.1657 0.7500
Al10 0.8343 0.6687 0.7500
Ni1 0.0000 0.5000 0.0000
Ni2 0.0000 0.5000 0.5000
Ni3 0.3333 0.6667 0.1263
Ni4 0.3333 0.6667 0.3737
Ni5 0.3333 0.6667 0.6584
Ni6 0.3333 0.6667 0.8416
Ni7 0.5000 0.0000 0.0000
Ni8 0.5000 0.0000 0.5000
Ni9 0.5000 0.5000 0.0000
Ni10 0.5000 0.5000 0.5000
Ni11 0.6667 0.3333 0.1584
Ni12 0.6667 0.3333 0.3416
Ni13 0.6667 0.3333 0.6263
Ni14 0.6667 0.3333 0.8737

=====

# Al10Ni3
Simulated X-ray diffraction stick pattern, Cu Kα (λ = 1.5418 Å). Input: a cell relaxed with PBE.
Kinematic intensities with the Lorentz-polarization factor, no thermal factor.

The 6 most intense peaks (10 to 80 degrees two-theta), sorted by position:
d (Å)  2θ/deg  I (rel.)
8.210  10.8  100
2.643  33.9  60
2.222  40.6  70
2.075  43.6  32
2.011  45.1  34
1.321  71.4  22

Lattice parameters (Å, degrees): 8.7590 8.7590 8.7590 35.12 35.12 35.12
Fractional positions:
Al1 0.0506 0.0506 0.0506
Al2 0.0906 0.6012 0.6012
Al3 0.3324 0.3324 0.3324
Al4 0.3988 0.3988 0.9094
Al5 0.3988 0.9094 0.3988
Al6 0.6012 0.0906 0.6012
Al7 0.6012 0.6012 0.0906
Al8 0.6676 0.6676 0.6676
Al9 0.9094 0.3988 0.3988
Al10 0.9494 0.9494 0.9494
Ni1 0.1484 0.1484 0.1484
Ni2 0.5000 0.5000 0.5000
Ni3 0.8516 0.8516 0.8516

=====

# Al12Ni
Simulated X-ray diffraction stick pattern, Cu Kα (λ = 1.5418 Å). Input: a cell relaxed with PBE.
Kinematic intensities with the Lorentz-polarization factor, no thermal factor.

The 6 most intense peaks (10 to 80 degrees two-theta), sorted by position:
d (Å)  2θ/deg  I (rel.)
8.834  10.0  36
2.633  34.1  58
2.261  39.9  100
2.130  42.4  50
2.094  43.2  57
1.316  71.7  36

Lattice parameters (Å, degrees): 9.3428 9.3428 9.3428 32.73 32.73 32.73
Fractional positions:
Al1 0.0486 0.0486 0.0486
Al2 0.0907 0.5922 0.5922
Al3 0.1513 0.1513 0.1513
Al4 0.3348 0.3348 0.3348
Al5 0.4078 0.4078 0.9093
Al6 0.4078 0.9093 0.4078
Al7 0.5922 0.0907 0.5922
Al8 0.5922 0.5922 0.0907
Al9 0.6652 0.6652 0.6652
Al10 0.8487 0.8487 0.8487
Al11 0.9093 0.4078 0.4078
Al12 0.9514 0.9514 0.9514
Ni1 0.5000 0.5000 0.5000

=====

# Al16Ni13
Simulated X-ray diffraction stick pattern, Cu Kα (λ = 1.5418 Å). Input: a cell relaxed with PBE.
Kinematic intensities with the Lorentz-polarization factor, no thermal factor.

The 6 most intense peaks (10 to 80 degrees two-theta), sorted by position:
d (Å)  2θ/deg  I (rel.)
3.707  24.0  43
2.270  39.7  21
2.140  42.2  100
1.936  46.9  74
1.781  51.3  52
1.284  73.8  28

Lattice parameters (Å, degrees): 7.8639 7.8639 7.8639 109.47 109.47 109.47
Fractional positions:
Al1 0.0000 0.0000 0.7054
Al2 0.0000 0.4150 0.6951
Al3 0.0000 0.6951 0.4150
Al4 0.0000 0.7054 0.0000
Al5 0.2801 0.5850 0.5850
Al6 0.2946 0.2946 0.2946
Al7 0.3049 0.3049 0.7199
Al8 0.3049 0.7199 0.3049
Al9 0.4150 0.0000 0.6951
Al10 0.4150 0.6951 0.0000
Al11 0.5850 0.2801 0.5850
Al12 0.5850 0.5850 0.2801
Al13 0.6951 0.0000 0.4150
Al14 0.6951 0.4150 0.0000
Al15 0.7054 0.0000 0.0000
Al16 0.7199 0.3049 0.3049
Ni1 0.0000 0.0000 0.0000
Ni2 0.0000 0.1949 0.3863
Ni3 0.0000 0.3863 0.1949
Ni4 0.1914 0.8051 0.8051
Ni5 0.1949 0.0000 0.3863
Ni6 0.1949 0.3863 0.0000
Ni7 0.3863 0.0000 0.1949
Ni8 0.3863 0.1949 0.0000
Ni9 0.6137 0.6137 0.8086
Ni10 0.6137 0.8086 0.6137
Ni11 0.8051 0.1914 0.8051
Ni12 0.8051 0.8051 0.1914
Ni13 0.8086 0.6137 0.6137

=====

# Al5Ni8
Simulated X-ray diffraction stick pattern, Cu Kα (λ = 1.5418 Å). Input: a cell relaxed with PBE.
Kinematic intensities with the Lorentz-polarization factor, no thermal factor.

The 6 most intense peaks (10 to 80 degrees two-theta), sorted by position:
d (Å)  2θ/deg  I (rel.)
4.129  21.5  41
4.048  22.0  45
2.055  44.1  100
2.045  44.3  51
1.948  46.6  42
1.896  48.0  80

Lattice parameters (Å, degrees): 8.7001 8.7001 8.7001 31.60 31.60 31.60
Fractional positions:
Al1 0.0000 0.0000 0.0000
Al2 0.3456 0.3456 0.3456
Al3 0.4497 0.4497 0.4497
Al4 0.5503 0.5503 0.5503
Al5 0.6544 0.6544 0.6544
Ni1 0.0923 0.0923 0.5857
Ni2 0.0923 0.5857 0.0923
Ni3 0.1658 0.1658 0.1658
Ni4 0.4143 0.9077 0.9077
Ni5 0.5857 0.0923 0.0923
Ni6 0.8342 0.8342 0.8342
Ni7 0.9077 0.4143 0.9077
Ni8 0.9077 0.9077 0.4143

=====

# Al5Ni7
Simulated X-ray diffraction stick pattern, Cu Kα (λ = 1.5418 Å). Input: a cell relaxed with PBE.
Kinematic intensities with the Lorentz-polarization factor, no thermal factor.

The 6 most intense peaks (10 to 80 degrees two-theta), sorted by position:
d (Å)  2θ/deg  I (rel.)
7.525  11.8  50
2.436  36.9  28
2.156  41.9  26
2.045  44.3  100
2.032  44.6  48
1.881  48.4  23

Lattice parameters (Å, degrees): 4.8728 4.8728 15.0498 90.00 90.00 120.00
Fractional positions:
Al1 0.1646 0.3292 0.2500
Al2 0.1646 0.8354 0.2500
Al3 0.3292 0.1646 0.7500
Al4 0.3333 0.6667 0.6361
Al5 0.3333 0.6667 0.8639
Al6 0.6667 0.3333 0.1361
Al7 0.6667 0.3333 0.3639
Al8 0.6708 0.8354 0.2500
Al9 0.8354 0.1646 0.7500
Al10 0.8354 0.6708 0.7500
Ni1 0.0000 0.0000 0.1060
Ni2 0.0000 0.0000 0.3940
Ni3 0.0000 0.0000 0.6060
Ni4 0.0000 0.0000 0.8940
Ni5 0.0000 0.5000 0.0000
Ni6 0.0000 0.5000 0.5000
Ni7 0.3333 0.6667 0.1270
Ni8 0.3333 0.6667 0.3730
Ni9 0.5000 0.0000 0.0000
Ni10 0.5000 0.0000 0.5000
Ni11 0.5000 0.5000 0.0000
Ni12 0.5000 0.5000 0.5000
Ni13 0.6667 0.3333 0.6270
Ni14 0.6667 0.3333 0.8730

=====

# Al16Ni13
Simulated X-ray diffraction stick pattern, Cu Kα (λ = 1.5418 Å). Input: a cell relaxed with PBE.
Kinematic intensities with the Lorentz-polarization factor, no thermal factor.

The 6 most intense peaks (10 to 80 degrees two-theta), sorted by position:
d (Å)  2θ/deg  I (rel.)
6.421  13.8  21
2.270  39.7  23
2.140  42.2  100
1.936  46.9  21
1.781  51.3  20
1.236  77.2  20

Lattice parameters (Å, degrees): 7.8647 7.8647 7.8647 109.47 109.47 109.47
Fractional positions:
Al1 0.0000 0.0000 0.6494
Al2 0.0000 0.2059 0.4056
Al3 0.0000 0.4056 0.2059
Al4 0.0000 0.6494 0.0000
Al5 0.1996 0.7941 0.7941
Al6 0.2059 0.0000 0.4056
Al7 0.2059 0.4056 0.0000
Al8 0.3506 0.3506 0.3506
Al9 0.4056 0.0000 0.2059
Al10 0.4056 0.2059 0.0000
Al11 0.5944 0.5944 0.8004
Al12 0.5944 0.8004 0.5944
Al13 0.6494 0.0000 0.0000
Al14 0.7941 0.1996 0.7941
Al15 0.7941 0.7941 0.1996
Al16 0.8004 0.5944 0.5944
Ni1 0.0000 0.0000 0.0000
Ni2 0.0000 0.4219 0.6967
Ni3 0.0000 0.6967 0.4219
Ni4 0.2747 0.5781 0.5781
Ni5 0.3033 0.3033 0.7253
Ni6 0.3033 0.7253 0.3033
Ni7 0.4219 0.0000 0.6967
Ni8 0.4219 0.6967 0.0000
Ni9 0.5781 0.2747 0.5781
Ni10 0.5781 0.5781 0.2747
Ni11 0.6967 0.0000 0.4219
Ni12 0.6967 0.4219 0.0000
Ni13 0.7253 0.3033 0.3033

=====

# Al25Ni4
Simulated X-ray diffraction stick pattern, Cu Kα (λ = 1.5418 Å). Input: a cell relaxed with PBE.
Kinematic intensities with the Lorentz-polarization factor, no thermal factor.

The 6 most intense peaks (10 to 80 degrees two-theta), sorted by position:
d (Å)  2θ/deg  I (rel.)
6.898  12.8  33
2.607  34.4  31
2.439  36.9  44
2.299  39.2  100
2.080  43.5  50
1.913  47.5  34

Lattice parameters (Å, degrees): 8.4481 8.4481 8.4481 109.47 109.47 109.47
Fractional positions:
Al1 0.0000 0.0000 0.0000
Al2 0.0000 0.1899 0.3757
Al3 0.0000 0.3757 0.1899
Al4 0.0000 0.4221 0.6983
Al5 0.0000 0.6983 0.4221
Al6 0.1858 0.8101 0.8101
Al7 0.1899 0.0000 0.3757
Al8 0.1899 0.3757 0.0000
Al9 0.2762 0.5779 0.5779
Al10 0.3017 0.3017 0.7238
Al11 0.3017 0.7238 0.3017
Al12 0.3757 0.0000 0.1899
Al13 0.3757 0.1899 0.0000
Al14 0.4221 0.0000 0.6983
Al15 0.4221 0.6983 0.0000
Al16 0.5779 0.2762 0.5779
Al17 0.5779 0.5779 0.2762
Al18 0.6243 0.6243 0.8142
Al19 0.6243 0.8142 0.6243
Al20 0.6983 0.0000 0.4221
Al21 0.6983 0.4221 0.0000
Al22 0.7238 0.3017 0.3017
Al23 0.8101 0.1858 0.8101
Al24 0.8101 0.8101 0.1858
Al25 0.8142 0.6243 0.6243
Ni1 0.0000 0.0000 0.7139
Ni2 0.0000 0.7139 0.0000
Ni3 0.2861 0.2861 0.2861
Ni4 0.7139 0.0000 0.0000